Entry 1:
For TlZn2Cu2, a DFT-relaxed cell (GGA-PBE, Alexandria) gives the theoretical powder X-ray diffraction pattern in this record (CuKα).
Kinematic intensities with the Lorentz-polarization factor, no thermal factor.

Top 6 peaks for 2θ = 5–70°, in order of rising 2θ:
2θ/deg	I/Imax
32.08	85
37.11	100
43.13	56
49.17	39
59.92	29
67.44	29

Cell lengths 6.8785, 6.8785, 6.8785 Å; angles 148.74, 148.74, 44.79 degrees
Fractional positions:
Tl 0.0000 0.0000 0.0000
Zn 0.3876 0.3876 0.0000
Zn 0.6124 0.6124 0.0000
Cu 0.2500 0.7500 0.5000
Cu 0.7500 0.2500 0.5000

***

Entry 2:
For TlZn2Cu2, a DFT-relaxed cell (GGA-PBE, Alexandria) gives the theoretical powder X-ray diffraction pattern in this record (CuKα).
Kinematic intensities with the Lorentz-polarization factor, no thermal factor.

Top 6 peaks for 2θ = 5–70°, in order of rising 2θ:
2θ/deg	I/Imax
16.36	28
33.06	36
37.09	100
39.91	59
41.69	52
49.79	33

Cell lengths 7.6642, 7.6642, 2.7962 Å; angles 90.00, 90.00, 90.00 degrees
Fractional positions:
Tl 0.0000 0.0000 0.0000
Tl 0.5000 0.5000 0.0000
Zn 0.1218 0.3782 0.0000
Zn 0.3782 0.8782 0.0000
Zn 0.6218 0.1218 0.0000
Zn 0.8782 0.6218 0.0000
Cu 0.1720 0.6720 0.5000
Cu 0.3280 0.1720 0.5000
Cu 0.6720 0.8280 0.5000
Cu 0.8280 0.3280 0.5000

***

What did the first record say?
For TlZn2Cu2, a DFT-relaxed cell (GGA-PBE, Alexandria) gives the theoretical powder X-ray diffraction pattern in this record (CuKα).
Kinematic intensities with the Lorentz-polarization factor, no thermal factor.

Top 6 peaks for 2θ = 5–70°, in order of rising 2θ:
2θ/deg	I/Imax
32.08	85
37.11	100
43.13	56
49.17	39
59.92	29
67.44	29

Cell lengths 6.8785, 6.8785, 6.8785 Å; angles 148.74, 148.74, 44.79 degrees
Fractional positions:
Tl 0.0000 0.0000 0.0000
Zn 0.3876 0.3876 0.0000
Zn 0.6124 0.6124 0.0000
Cu 0.2500 0.7500 0.5000
Cu 0.7500 0.2500 0.5000